No. 1
The following is a simulated X-ray powder pattern of AcZrCu10. It was derived from a cell relaxed with PBE, using Cu Kα.
Kinematic intensities with the Lorentz-polarization factor, no thermal factor.

The 6 most intense peaks (2θ from 10° to 80°), by angle:
(1 1 1), 2θ 29.7, 3.003 Å, intensity 71; (0 1 3), 2θ 35.1, 2.553 Å, intensity 29; (0 2 2), 2θ 40.9, 2.206 Å, intensity 34; (1 1 3), 2θ 41.7, 2.167 Å, intensity 100; (1 2 0), 2θ 41.8, 2.161 Å, intensity 51; (2 0 0), 2θ 44.2, 2.048 Å, intensity 41

Atomic structure:
Unit cell a=4.096 b=5.088 c=8.855 alpha=90.00 beta=90.00 gamma=90.00
Space group Pmmm (No. 47)
Unique sites:
Ac1 0.000 0.000 0.000
Zr1 0.000 0.500 0.500
Cu1 0.000 0.000 0.347
Cu2 0.000 0.500 0.187
Cu3 0.500 0.000 0.500
Cu4 0.500 0.259 0.266
Cu5 0.500 0.500 0.000



No. 2
The following is a simulated X-ray powder pattern of Ac13Dy3. It was derived from a cell relaxed with PBE, using Cu Kα.
Kinematic intensities with the Lorentz-polarization factor, no thermal factor.

The 6 most intense peaks (2θ from 10° to 80°), by angle:
(2 2 2), 2θ 28.0, 3.192 Å, intensity 100; (4 0 0), 2θ 32.1, 2.788 Å, intensity 18; (0 0 4), 2θ 32.4, 2.763 Å, intensity 17; (0 4 0), 2θ 32.6, 2.743 Å, intensity 17; (6 2 2), 2θ 54.7, 1.677 Å, intensity 16; (2 2 6), 2θ 55.1, 1.666 Å, intensity 16

Atomic structure:
Unit cell a=11.151 b=10.971 c=11.051 alpha=90.00 beta=90.00 gamma=90.00
Space group Amm2 (No. 38)
Unique sites:
Ac1 0.000 0.000 0.000
Ac2 0.000 0.000 0.491
Ac3 0.000 0.245 0.245
Ac4 0.252 0.000 0.747
Ac5 0.254 0.247 0.995
Ac6 0.500 0.000 0.490
Ac7 0.500 0.244 0.243
Dy1 0.255 0.000 0.242
Dy2 0.500 0.000 0.000



No. 3
The following is a simulated X-ray powder pattern of Ac3Dy2. It was derived from a cell relaxed with PBE, using Cu Kα.
Kinematic intensities with the Lorentz-polarization factor, no thermal factor.

The 6 most intense peaks (2θ from 10° to 80°), by angle:
(2 2 0), 2θ 24.6, 3.616 Å, intensity 23; (3 1 0), 2θ 27.6, 3.234 Å, intensity 70; (2 0 1), 2θ 29.1, 3.070 Å, intensity 56; (2 1 1), 2θ 30.4, 2.940 Å, intensity 100; (4 1 0), 2θ 36.2, 2.480 Å, intensity 21; (5 1 1), 2θ 51.4, 1.778 Å, intensity 28

Atomic structure:
Unit cell a=10.227 b=10.227 c=3.838 alpha=90.00 beta=90.00 gamma=90.00
Space group P4/mbm (No. 127)
Unique sites:
Ac1 0.000 0.000 0.000
Ac2 0.178 0.322 0.500
Dy1 0.117 0.617 0.000



No. 4
The following is a simulated X-ray powder pattern of Ac3Dy. It was derived from a cell relaxed with PBE, using Cu Kα.
Kinematic intensities with the Lorentz-polarization factor, no thermal factor.

The 6 most intense peaks (2θ from 10° to 80°), by angle:
(1 1 2), 2θ 28.2, 3.170 Å, intensity 100; (2 0 0), 2θ 32.4, 2.763 Å, intensity 35; (0 2 0), 2θ 33.1, 2.710 Å, intensity 17; (2 2 0), 2θ 47.0, 1.935 Å, intensity 25; (3 1 2), 2θ 55.2, 1.663 Å, intensity 31; (1 3 2), 2θ 56.1, 1.640 Å, intensity 15

Atomic structure:
Unit cell a=5.532 b=5.419 c=11.042 alpha=90.00 beta=90.00 gamma=90.00
Space group Pmma (No. 51)
Unique sites:
Ac1 0.250 0.000 0.118
Ac2 0.250 0.000 0.633
Ac3 0.250 0.500 0.370
Dy1 0.250 0.500 0.882